Diffraction record for Mn5Al8. The powder XRD pattern is computed, not measured: it uses DFT lattice parameters and positions (PBE) and Cu Kα (weighted mean of Kα1 and Kα2).
Neutral-atom scattering factors, no anomalous dispersion.

Structure:
```
data_Mn5Al8
_chemical_formula_sum 'Mn20 Al32'
_cell_length_a 8.9778
_cell_length_b 8.9778
_cell_length_c 8.9778
_cell_angle_alpha 90.00
_cell_angle_beta 90.00
_cell_angle_gamma 90.00
_space_group_name_H-M_alt 'I -4 3 m'
_space_group_IT_number 217
_space_group_name_Hall 'I -4 2 3'
loop_
_atom_site_label
_atom_site_type_symbol
_atom_site_fract_x
_atom_site_fract_y
_atom_site_fract_z
_atom_site_occupancy
Mn1 Mn 0.0000 0.0000 0.3534 1
Mn2 Mn 0.1754 0.1754 0.1754 1
Al1 Al 0.0319 0.3140 0.6860 1
Al2 Al 0.1077 0.1077 0.8923 1
```

The 10 most intense peaks (2θ = 10–90°), by intensity:
2θ (°), I (rel.), index
42.7, 100, 3 3 0
78.2, 20, 6 3 3
24.3, 19, 2 1 1
62.0, 12, 6 0 0
88.5, 9, 7 4 1
49.8, 6, 4 2 2
73.0, 4, 4 4 4
63.9, 2, 5 3 2
74.8, 2, 5 5 0
47.5, 2, 3 3 2

---

Diffraction record for Mn5Al8. The powder XRD pattern is computed, not measured: it uses DFT lattice parameters and positions (PBE) and Cu Kα (weighted mean of Kα1 and Kα2).
Neutral-atom scattering factors, no anomalous dispersion.

Structure:
```
data_Mn5Al8
_chemical_formula_sum 'Mn30 Al48'
_cell_length_a 12.5875
_cell_length_b 12.5875
_cell_length_c 7.7042
_cell_angle_alpha 90.00
_cell_angle_beta 90.00
_cell_angle_gamma 120.00
_space_group_name_H-M_alt 'R 3 m'
_space_group_IT_number 160
_space_group_name_Hall 'R 3 -2"'
loop_
_atom_site_label
_atom_site_type_symbol
_atom_site_fract_x
_atom_site_fract_y
_atom_site_fract_z
_atom_site_occupancy
Mn1 Mn 0.0000 0.0000 0.0000 1
Mn2 Mn 0.0705 0.1410 0.7795 1
Mn3 Mn 0.1028 0.5514 0.7702 1
Mn4 Mn 0.2199 0.4399 0.6176 1
Al1 Al 0.0000 0.0000 0.5383 1
Al2 Al 0.0064 0.3870 0.5176 1
Al3 Al 0.0967 0.5484 0.1346 1
Al4 Al 0.1450 0.0725 0.2572 1
Al5 Al 0.2139 0.4279 0.2770 1
```

The 10 most intense peaks (2θ = 10–90°), by intensity:
2θ (°), I (rel.), index
43.1, 100, 3 0 3
14.1, 41, 1 0 1
79.1, 19, 3 5 4
47.9, 14, 5 0 2
50.2, 12, 0 2 4
24.5, 6, 3 0 0
52.4, 6, 1 4 3
89.5, 6, 3 3 6
75.5, 5, 5 5 0
86.0, 5, 1 9 1